Entry 1:
Diffraction record for NaTaRhSe3. The PXRD pattern is computed, not measured: it uses a cell relaxed with GGA-PBE and Cu Kα (weighted mean of Kα1 and Kα2).
Kinematic intensities with the Lorentz-polarization factor, no thermal factor.

Structural model:
```
data_NaTaRhSe3
_chemical_formula_sum 'Na2 Ta2 Rh2 Se6'
_cell_length_a 7.660
_cell_length_b 3.596
_cell_length_c 9.864
_cell_angle_alpha 90.00
_cell_angle_beta 109.03
_cell_angle_gamma 90.00
_space_group_name_H-M_alt 'P 1 21/m 1'
_space_group_IT_number 11
_space_group_name_Hall '-P 2yb'
loop_
_atom_site_label
_atom_site_fract_x
_atom_site_fract_y
_atom_site_fract_z
_atom_site_occupancy
Na1 0.242 0.250 0.207 1
Ta1 0.207 0.750 0.673 1
Rh1 0.412 0.250 0.876 1
Se1 0.069 0.750 0.377 1
Se2 0.229 0.750 0.941 1
Se3 0.426 0.250 0.628 1
```

Top 8 peaks for 2θ from 10° to 90°, most intense first:
two_theta, intensity, index
12.8, 1000, 1 0 -1
34.2, 277, 2 1 -1
46.3, 265, 2 1 -4
35.2, 255, 2 1 0
37.2, 223, 1 1 -3
38.6, 192, 0 0 4
27.7, 121, 1 1 0
50.8, 120, 0 2 0

***

Entry 2:
Diffraction record for K5PbI8. The PXRD pattern is computed, not measured: it uses a cell relaxed with GGA-PBE and Cu Kα (weighted mean of Kα1 and Kα2).
Kinematic intensities with the Lorentz-polarization factor, no thermal factor.

Structural model:
```
data_K5PbI8
_chemical_formula_sum 'K10 Pb2 I16'
_cell_length_a 10.611
_cell_length_b 10.611
_cell_length_c 10.608
_cell_angle_alpha 90.00
_cell_angle_beta 90.00
_cell_angle_gamma 90.00
_space_group_name_H-M_alt 'I -4'
_space_group_IT_number 82
_space_group_name_Hall 'I -4'
loop_
_atom_site_label
_atom_site_fract_x
_atom_site_fract_y
_atom_site_fract_z
_atom_site_occupancy
K1 0.000 0.000 0.000 1
K2 0.123 0.242 0.367 1
Pb1 0.000 0.500 0.750 1
I1 0.058 0.338 0.042 1
I2 0.072 0.198 0.697 1
```

Top 8 peaks for 2θ from 10° to 90°, most intense first:
two_theta, intensity, index
26.6, 1000, 3 1 0
31.6, 752, 3 1 2
11.8, 323, 1 1 0
43.5, 315, 3 4 1
53.2, 249, 3 2 5
41.7, 246, 2 4 2
64.5, 171, 2 5 5
56.2, 154, 1 4 5

***

Entry 3:
Diffraction record for Pm5CoGe2. The PXRD pattern is computed, not measured: it uses a cell relaxed with GGA-PBE and Cu Kα (weighted mean of Kα1 and Kα2).
Kinematic intensities with the Lorentz-polarization factor, no thermal factor.

Structural model:
```
data_Pm5CoGe2
_chemical_formula_sum 'Pm15 Co3 Ge6'
_cell_length_a 5.1706
_cell_length_b 5.1706
_cell_length_c 25.7396
_cell_angle_alpha 90.00
_cell_angle_beta 90.00
_cell_angle_gamma 120.00
_space_group_name_H-M_alt 'R -3 m'
_space_group_IT_number 166
_space_group_name_Hall '-R 3 2"'
loop_
_atom_site_label
_atom_site_fract_x
_atom_site_fract_y
_atom_site_fract_z
_atom_site_occupancy
Pm1 0.0000 0.0000 0.0000 1
Pm2 0.0000 0.0000 0.1302 1
Pm3 0.0000 0.0000 0.2742 1
Co1 0.0000 0.0000 0.5000 1
Ge1 0.0000 0.0000 0.4018 1
```

Top 8 peaks for 2θ from 10° to 90°, most intense first:
two_theta, intensity, index
34.7, 1000, 1 1 0
31.5, 608, 1 0 7
34.3, 452, 0 1 8
65.3, 200, 1 1 15
47.5, 194, 0 2 7
60.2, 193, 2 1 7
62.2, 182, 3 0 0
62.0, 162, 1 2 8

***

Entry 4:
Diffraction record for Nd7Sm3Tm. The PXRD pattern is computed, not measured: it uses a cell relaxed with GGA-PBE and Cu Kα (weighted mean of Kα1 and Kα2).
Kinematic intensities with the Lorentz-polarization factor, no thermal factor.

Structural model:
```
data_Nd7Sm3Tm
_chemical_formula_sum 'Nd28 Sm12 Tm4'
_cell_length_a 19.398
_cell_length_b 7.233
_cell_length_c 12.709
_cell_angle_alpha 90.00
_cell_angle_beta 116.30
_cell_angle_gamma 90.00
_space_group_name_H-M_alt 'C 1 2/c 1'
_space_group_IT_number 15
_space_group_name_Hall '-C 2yc'
loop_
_atom_site_label
_atom_site_fract_x
_atom_site_fract_y
_atom_site_fract_z
_atom_site_occupancy
Nd1 0.000 0.211 0.250 1
Nd2 0.159 0.498 0.774 1
Nd3 0.166 0.245 0.027 1
Nd4 0.168 0.249 0.529 1
Sm1 0.000 0.500 0.000 1
Sm2 0.169 0.001 0.773 1
Tm1 0.000 0.000 0.000 1
```

Top 8 peaks for 2θ from 10° to 90°, most intense first:
two_theta, intensity, index
31.6, 1000, 4 2 -2
33.3, 825, 2 2 2
30.9, 793, 6 0 0
31.4, 545, 0 0 4
32.9, 466, 6 0 -4
49.9, 399, 4 2 -6
54.2, 342, 6 0 4
28.6, 312, 2 2 -2

***

Entry 5:
Diffraction record for TmTa2WC4. The PXRD pattern is computed, not measured: it uses a cell relaxed with GGA-PBE and Cu Kα (weighted mean of Kα1 and Kα2).
Kinematic intensities with the Lorentz-polarization factor, no thermal factor.

Structural model:
```
data_TmTa2WC4
_chemical_formula_sum 'Tm4 Ta8 W4 C16'
_cell_length_a 3.195
_cell_length_b 11.364
_cell_length_c 11.393
_cell_angle_alpha 90.00
_cell_angle_beta 90.00
_cell_angle_gamma 90.00
_space_group_name_H-M_alt 'C m c m'
_space_group_IT_number 63
_space_group_name_Hall '-C 2c 2'
loop_
_atom_site_label
_atom_site_fract_x
_atom_site_fract_y
_atom_site_fract_z
_atom_site_occupancy
Tm1 0.000 0.118 0.250 1
Ta1 0.000 0.370 0.032 1
W1 0.000 0.149 0.750 1
C1 0.000 0.000 0.000 1
C2 0.000 0.261 0.615 1
C3 0.000 0.461 0.250 1
```

Top 8 peaks for 2θ from 10° to 90°, most intense first:
two_theta, intensity, index
31.5, 1000, 0 4 0
33.1, 879, 1 1 2
40.2, 813, 1 3 2
45.1, 315, 0 4 4
67.2, 235, 2 4 0
66.7, 169, 1 7 2
51.9, 163, 1 5 2
55.2, 162, 1 5 3

***

Entry 6:
Diffraction record for SrAc2GeO5. The PXRD pattern is computed, not measured: it uses a cell relaxed with GGA-PBE and Cu Kα (weighted mean of Kα1 and Kα2).
Kinematic intensities with the Lorentz-polarization factor, no thermal factor.

Structural model:
```
data_SrAc2GeO5
_chemical_formula_sum 'Sr2 Ac4 Ge2 O10'
_cell_length_a 7.116
_cell_length_b 7.116
_cell_length_c 6.229
_cell_angle_alpha 90.00
_cell_angle_beta 90.00
_cell_angle_gamma 90.00
_space_group_name_H-M_alt 'P 4/m b m'
_space_group_IT_number 127
_space_group_name_Hall '-P 4 2ab'
loop_
_atom_site_label
_atom_site_fract_x
_atom_site_fract_y
_atom_site_fract_z
_atom_site_occupancy
Sr1 0.000 0.000 0.000 1
Ac1 0.172 0.328 0.500 1
Ge1 0.000 0.500 0.000 1
O1 0.000 0.000 0.500 1
O2 0.147 0.647 0.242 1
```

Top 8 peaks for 2θ from 10° to 90°, most intense first:
two_theta, intensity, index
31.6, 1000, 2 1 1
28.9, 921, 2 0 1
40.5, 671, 2 1 2
14.2, 638, 0 0 1
28.7, 464, 0 0 2
28.0, 459, 2 1 0
55.2, 267, 4 1 1
52.6, 233, 2 1 3

***

Entry 7:
Diffraction record for ScRh. The PXRD pattern is computed, not measured: it uses a cell relaxed with GGA-PBE and Cu Kα (weighted mean of Kα1 and Kα2).
Kinematic intensities with the Lorentz-polarization factor, no thermal factor.

Structural model:
```
data_ScRh
_chemical_formula_sum 'Sc1 Rh1'
_cell_length_a 3.227
_cell_length_b 3.227
_cell_length_c 3.227
_cell_angle_alpha 90.00
_cell_angle_beta 90.00
_cell_angle_gamma 90.00
_space_group_name_H-M_alt 'P m -3 m'
_space_group_IT_number 221
_space_group_name_Hall '-P 4 2 3'
loop_
_atom_site_label
_atom_site_fract_x
_atom_site_fract_y
_atom_site_fract_z
_atom_site_occupancy
Sc1 0.000 0.000 0.000 1
Rh1 0.500 0.500 0.500 1
```

Top 7 peaks for 2θ from 10° to 90°, most intense first:
two_theta, intensity, index
39.5, 1000, 1 1 0
71.6, 320, 2 1 1
27.6, 214, 1 0 0
57.1, 163, 2 0 0
85.0, 100, 2 2 0
64.6, 83, 2 1 0
48.9, 62, 1 1 1

***

Entry 8:
Diffraction record for CoPSe. The PXRD pattern is computed, not measured: it uses a cell relaxed with GGA-PBE and Cu Kα (weighted mean of Kα1 and Kα2).
Kinematic intensities with the Lorentz-polarization factor, no thermal factor.

Structural model:
```
data_CoPSe
_chemical_formula_sum 'Co4 P4 Se4'
_cell_length_a 5.741
_cell_length_b 5.166
_cell_length_c 6.718
_cell_angle_alpha 90.00
_cell_angle_beta 90.10
_cell_angle_gamma 90.00
_space_group_name_H-M_alt 'P 1 21/c 1'
_space_group_IT_number 14
_space_group_name_Hall '-P 2ybc'
loop_
_atom_site_label
_atom_site_fract_x
_atom_site_fract_y
_atom_site_fract_z
_atom_site_occupancy
Co1 0.231 0.036 0.160 1
P1 0.116 0.144 0.847 1
Se1 0.379 0.702 0.366 1
```

Top 8 peaks for 2θ from 10° to 90°, most intense first:
two_theta, intensity, index
21.7, 1000, 0 1 1
35.8, 798, 2 1 0
35.5, 757, 1 1 2
47.1, 665, 1 2 2
31.8, 444, 0 1 2
44.1, 388, 0 1 3
55.2, 377, 3 0 2
57.5, 292, 1 3 -1

***

Entry 9:
Diffraction record for Zr5Cd4Ag. The PXRD pattern is computed, not measured: it uses a cell relaxed with GGA-PBE and Cu Kα (weighted mean of Kα1 and Kα2).
Kinematic intensities with the Lorentz-polarization factor, no thermal factor.

Structural model:
```
data_Zr5Cd4Ag
_chemical_formula_sum 'Zr5 Cd4 Ag1'
_cell_length_a 3.143
_cell_length_b 3.143
_cell_length_c 21.634
_cell_angle_alpha 90.00
_cell_angle_beta 90.00
_cell_angle_gamma 90.00
_space_group_name_H-M_alt 'P 4/m m m'
_space_group_IT_number 123
_space_group_name_Hall '-P 4 2'
loop_
_atom_site_label
_atom_site_fract_x
_atom_site_fract_y
_atom_site_fract_z
_atom_site_occupancy
Zr1 0.000 0.000 0.000 1
Zr2 0.000 0.000 0.202 1
Zr3 0.000 0.000 0.404 1
Cd1 0.500 0.500 0.101 1
Cd2 0.500 0.500 0.303 1
Ag1 0.500 0.500 0.500 1
```

Top 8 peaks for 2θ from 10° to 90°, most intense first:
two_theta, intensity, index
35.3, 1000, 1 0 5
40.6, 338, 1 1 0
70.4, 247, 2 1 5
59.6, 203, 1 1 10
41.8, 152, 0 0 10
72.0, 110, 1 0 15
58.8, 109, 2 0 0
74.6, 102, 2 0 10